Record 1
For PuPa2F11, a DFT-relaxed cell (PBE, Alexandria) gives the calculated powder diffraction line list in this record (Cu Kα X-rays).
Neutral-atom scattering factors, no anomalous dispersion.

Cell and atoms:
a = 8.912 Å, b = 8.912 Å, c = 8.912 Å
α = 122.44°, β = 106.68°, γ = 100.17°
Sites, in units of the cell vectors:
Pu (0.250, 0.250, 0.000)
Pu (0.750, 0.750, 0.000)
Pa (0.182, 0.648, 0.830)
Pa (0.318, 0.148, 0.466)
Pa (0.682, 0.852, 0.534)
Pa (0.818, 0.352, 0.170)
F (0.000, 0.500, 0.500)
F (0.041, 0.955, 0.274)
F (0.061, 0.358, 0.150)
F (0.181, 0.455, 0.914)
F (0.208, 0.911, 0.850)
F (0.214, 0.371, 0.586)
F (0.286, 0.871, 0.157)
F (0.292, 0.142, 0.703)
F (0.319, 0.233, 0.274)
F (0.439, 0.589, 0.297)
F (0.459, 0.733, 0.914)
F (0.500, 0.000, 0.500)
F (0.541, 0.267, 0.086)
F (0.561, 0.411, 0.703)
F (0.681, 0.767, 0.726)
F (0.708, 0.858, 0.297)
F (0.714, 0.129, 0.843)
F (0.786, 0.629, 0.414)
F (0.792, 0.089, 0.150)
F (0.819, 0.545, 0.086)
F (0.939, 0.642, 0.850)
F (0.959, 0.045, 0.726)

Main lines, in order of rising 2θ (5 to 70 degrees two-theta):
2θ (°), intensity
20.44, 100
21.13, 51
22.83, 78
23.67, 74
27.20, 31
41.93, 33
43.62, 46
45.63, 33

=====

Record 2
For CuH6Rh4, a DFT-relaxed cell (PBE, Alexandria) gives the calculated powder diffraction line list in this record (Cu Kα X-rays).
Neutral-atom scattering factors, no anomalous dispersion.

Cell and atoms:
a = 4.914 Å, b = 4.914 Å, c = 13.150 Å
α = 90.00°, β = 90.00°, γ = 146.44°
Sites, in units of the cell vectors:
Cu (0.169, 0.831, 0.750)
Cu (0.831, 0.169, 0.250)
H (0.000, 0.000, 0.000)
H (0.000, 0.000, 0.500)
H (0.202, 0.798, 0.250)
H (0.270, 0.730, 0.584)
H (0.270, 0.730, 0.916)
H (0.478, 0.522, 0.166)
H (0.478, 0.522, 0.334)
H (0.522, 0.478, 0.666)
H (0.522, 0.478, 0.834)
H (0.730, 0.270, 0.084)
H (0.730, 0.270, 0.416)
H (0.798, 0.202, 0.750)
Rh (0.095, 0.905, 0.141)
Rh (0.095, 0.905, 0.359)
Rh (0.362, 0.638, 0.052)
Rh (0.362, 0.638, 0.448)
Rh (0.638, 0.362, 0.552)
Rh (0.638, 0.362, 0.948)
Rh (0.905, 0.095, 0.641)
Rh (0.905, 0.095, 0.859)

Main lines, in order of rising 2θ (5 to 70 degrees two-theta):
2θ (°), intensity
35.77, 39
38.26, 37
39.01, 59
39.24, 100
43.20, 19
43.56, 28
45.25, 33
66.00, 20

=====

Record 3
For PmSn3Pd7, a DFT-relaxed cell (PBE, Alexandria) gives the calculated powder diffraction line list in this record (Cu Kα X-rays).
Neutral-atom scattering factors, no anomalous dispersion.

Cell and atoms:
a = 6.473 Å, b = 6.473 Å, c = 5.643 Å
α = 104.41°, β = 104.41°, γ = 98.68°
Sites, in units of the cell vectors:
Pm (0.000, 0.000, 0.000)
Sn (0.270, 0.730, 0.500)
Sn (0.500, 0.500, 0.000)
Sn (0.730, 0.270, 0.500)
Pd (0.000, 0.000, 0.500)
Pd (0.094, 0.547, 0.815)
Pd (0.316, 0.316, 0.458)
Pd (0.453, 0.906, 0.185)
Pd (0.547, 0.094, 0.815)
Pd (0.684, 0.684, 0.542)
Pd (0.906, 0.453, 0.185)

Main lines, in order of rising 2θ (5 to 70 degrees two-theta):
2θ (°), intensity
29.14, 20
33.25, 78
36.59, 89
38.36, 100
39.12, 37
42.58, 20
46.89, 45
50.28, 41

=====

Record 4
For La3Ga9Tc2, a DFT-relaxed cell (PBE, Alexandria) gives the calculated powder diffraction line list in this record (Cu Kα X-rays).
Neutral-atom scattering factors, no anomalous dispersion.

Cell and atoms:
a = 8.410 Å, b = 8.410 Å, c = 8.410 Å
α = 149.73°, β = 110.16°, γ = 77.98°
Sites, in units of the cell vectors:
La (0.000, 0.000, 0.000)
La (0.303, 0.303, 0.000)
La (0.697, 0.697, 0.000)
Ga (0.013, 0.654, 0.359)
Ga (0.156, 0.873, 0.284)
Ga (0.294, 0.654, 0.641)
Ga (0.411, 0.127, 0.284)
Ga (0.500, 0.000, 0.500)
Ga (0.589, 0.873, 0.716)
Ga (0.706, 0.346, 0.359)
Ga (0.844, 0.127, 0.716)
Ga (0.987, 0.346, 0.641)
Tc (0.318, 0.500, 0.818)
Tc (0.682, 0.500, 0.182)

Main lines, in order of rising 2θ (5 to 70 degrees two-theta):
2θ (°), intensity
33.13, 23
34.46, 100
34.67, 68
35.50, 36
37.33, 36
41.11, 49
41.44, 19
43.43, 20